# 1
For Sm4Pu3ScS8, a structure optimized by DFT (GGA-PBE) gives the theoretical powder XRD pattern in this record (Cu Kα X-rays).
Lines closer than 0.1° are merged.

Top 6 peaks for 2θ from 10° to 80°, low angle first:
27.52°, I = 22; 27.70°, I = 64; 32.04°, I = 100; 45.83°, I = 37; 46.07°, I = 36; 54.50°, I = 21

Structural model:
```
data_Sm4Pu3ScS8
_cell_length_a 7.8812
_cell_length_b 7.8812
_cell_length_c 19.4466
_cell_angle_alpha 90.00
_cell_angle_beta 90.00
_cell_angle_gamma 120.00
_space_group_name_H-M_alt 'R -3 m'
_space_group_IT_number 166
_space_group_name_Hall '-R 3 2"'
loop_
_atom_site_label
_atom_site_type_symbol
_atom_site_fract_x
_atom_site_fract_y
_atom_site_fract_z
Sm1 Sm 0.0000 0.0000 0.0000
Sm2 Sm 0.0000 0.5000 0.0000
Pu1 Pu 0.0000 0.5000 0.5000
Sc1 Sc 0.0000 0.0000 0.5000
S1 S 0.0000 0.0000 0.2480
S2 S 0.0081 0.5040 0.2462
```

# 2
For Pm2PuReN6, a structure optimized by DFT (GGA-PBE) gives the theoretical powder XRD pattern in this record (Cu Kα X-rays).
Lines closer than 0.1° are merged.

Top 6 peaks for 2θ from 10° to 80°, low angle first:
30.96°, I = 32; 31.16°, I = 68; 31.39°, I = 100; 44.65°, I = 29; 45.00°, I = 16; 55.57°, I = 36

Structural model:
```
data_Pm2PuReN6
_cell_length_a 5.7056
_cell_length_b 5.7762
_cell_length_c 9.8216
_cell_angle_alpha 90.00
_cell_angle_beta 124.88
_cell_angle_gamma 90.00
_space_group_name_H-M_alt 'P 1 21/c 1'
_space_group_IT_number 14
_space_group_name_Hall '-P 2ybc'
loop_
_atom_site_label
_atom_site_type_symbol
_atom_site_fract_x
_atom_site_fract_y
_atom_site_fract_z
Pm1 Pm 0.2377 0.0444 0.2489
Pu1 Pu 0.5000 0.0000 0.0000
Re1 Re 0.0000 0.0000 0.5000
N1 N 0.1592 0.2144 0.9521
N2 N 0.2275 0.7042 0.9518
N3 N 0.3310 0.0192 0.7419
```

# 3
For Cu2Br2N, a structure optimized by DFT (GGA-PBE) gives the theoretical powder XRD pattern in this record (Cu Kα X-rays).
Lines closer than 0.1° are merged.

Top 6 peaks for 2θ from 10° to 80°, low angle first:
16.43°, I = 100; 19.61°, I = 40; 30.65°, I = 29; 36.03°, I = 59; 39.83°, I = 43; 42.18°, I = 37

Structural model:
```
data_Cu2Br2N
_cell_length_a 4.9856
_cell_length_b 4.9856
_cell_length_c 10.7918
_cell_angle_alpha 90.00
_cell_angle_beta 90.00
_cell_angle_gamma 90.00
_space_group_name_H-M_alt 'I 4/m m m'
_space_group_IT_number 139
_space_group_name_Hall '-I 4 2'
loop_
_atom_site_label
_atom_site_type_symbol
_atom_site_fract_x
_atom_site_fract_y
_atom_site_fract_z
Cu1 Cu 0.0000 0.0000 0.1661
Br1 Br 0.0000 0.5000 0.2500
N1 N 0.0000 0.0000 0.0000
```

What is the formula in the first record?
Sm4Pu3ScS8

Which formula does entry 1 have?
Sm4Pu3ScS8